# 1
# Na2TlCd2
Computed X-ray powder pattern, Cu Kα, 1.54184 Å. Input: the PBE geometry in Alexandria.
No peak broadening, texture or thermal motion is included.

Main lines, in order of rising 2θ (2θ from 15° to 90°):
2θ 18.4, intensity 100
2θ 22.9, intensity 29
2θ 26.5, intensity 57
2θ 32.5, intensity 89
2θ 33.9, intensity 95
2θ 35.3, intensity 39
2θ 35.4, intensity 43
2θ 43.5, intensity 62
2θ 44.2, intensity 17
2θ 44.8, intensity 28
2θ 50.9, intensity 27
2θ 65.8, intensity 27

Structural model:
Cell lengths 5.0659, 3.3642, 8.1575 Å; angles 90.00, 108.02, 90.00 degrees
Atoms (fractional coordinates):
Na 0.1127 0.0000 0.2225
Na 0.8873 0.0000 0.7775
Tl 0.5000 0.5000 0.0000
Cd 0.2996 0.5000 0.5983
Cd 0.7004 0.5000 0.4017



# 2
# Na9Tl2Cd3
Computed X-ray powder pattern, Cu Kα, 1.54184 Å. Input: the PBE geometry in Alexandria.
No peak broadening, texture or thermal motion is included.

Main lines, in order of rising 2θ (2θ from 15° to 90°):
2θ 17.0, intensity 100
2θ 18.3, intensity 47
2θ 20.3, intensity 39
2θ 22.0, intensity 28
2θ 30.4, intensity 55
2θ 32.0, intensity 50
2θ 33.0, intensity 62
2θ 34.1, intensity 86
2θ 34.5, intensity 54
2θ 36.7, intensity 24
2θ 46.7, intensity 47
2θ 49.5, intensity 21

Structural model:
Cell lengths 9.2530, 9.2530, 9.2530 Å; angles 144.84, 116.24, 74.95 degrees
Atoms (fractional coordinates):
Na 0.0000 0.0000 0.0000
Na 0.1320 0.2899 0.8420
Na 0.2304 0.8970 0.3334
Na 0.4363 0.1030 0.3334
Na 0.4479 0.2899 0.1580
Na 0.5521 0.7101 0.8420
Na 0.5637 0.8970 0.6666
Na 0.7696 0.1030 0.6666
Na 0.8680 0.7101 0.1580
Tl 0.1743 0.6743 0.5000
Tl 0.8257 0.3257 0.5000
Cd 0.1912 0.5000 0.6912
Cd 0.5000 0.5000 0.0000
Cd 0.8088 0.5000 0.3088